This entry pairs a crystal structure of K2SeS3O7 with its simulated XRD peak list. Radiation: Cu Kα X-rays. Structure: the GGA-PBE geometry in the Materials Project.
Lines closer than 0.1° are merged.

Principal peaks in the range 5° ≤ 2θ ≤ 70°, low angle first:
h k l, 2theta, d (Å), I_rel
0 2 1, 12.99, 6.814, 100
1 2 1, 20.39, 4.355, 48
1 3 -1, 22.81, 3.899, 39
1 0 -2, 24.14, 3.686, 27
1 0 2, 24.32, 3.661, 39
1 1 -2, 24.58, 3.621, 30
0 4 2, 26.15, 3.407, 55
0 6 0, 27.74, 3.216, 58
1 3 -2, 27.91, 3.197, 32
1 3 2, 28.05, 3.181, 42
0 2 3, 29.32, 3.046, 46
2 0 0, 31.47, 2.843, 28

Crystal structure
```
data_K2SeS3O7
_cell_length_a 5.686
_cell_length_b 19.296
_cell_length_c 9.626
_cell_angle_alpha 90.00
_cell_angle_beta 90.42
_cell_angle_gamma 90.00
_space_group_name_H-M_alt 'P 1 21/c 1'
_space_group_IT_number 14
loop_
_space_group_symop_operation_xyz
'x,y,z'
'-x,-y,-z'
'-x,y+1/2,-z+1/2'
'x,-y+1/2,z+1/2'
loop_
_atom_site_label
_atom_site_fract_x
_atom_site_fract_y
_atom_site_fract_z
K1 0.143 0.107 0.499
K2 0.298 0.746 0.344
Se1 0.278 0.103 0.961
S1 0.223 0.216 0.868
S2 0.360 0.580 0.592
S3 0.367 0.550 0.815
O1 0.003 0.238 0.932
O2 0.154 0.507 0.820
O3 0.158 0.615 0.246
O4 0.203 0.206 0.716
O5 0.344 0.615 0.893
O6 0.410 0.015 0.662
O7 0.431 0.244 0.409
```